Record 1
# DyErCo2Si2C
Simulated X-ray powder pattern, Cu Ka. Input: a cell relaxed with GGA-PBE.

Crystal structure
Unit cell a=10.525 b=3.858 c=6.764 alpha=90.00 beta=129.54 gamma=90.00
Element x y z (fractional)
Dy: 0.000 0.000 0.000
Dy: 0.500 0.500 0.000
Er: 0.127 0.000 0.593
Er: 0.627 0.500 0.593
Co: 0.263 0.500 0.385
Co: 0.365 0.000 0.209
Co: 0.763 0.000 0.385
Co: 0.865 0.500 0.209
Si: 0.219 0.500 0.000
Si: 0.408 0.000 0.594
Si: 0.719 0.000 0.000
Si: 0.908 0.500 0.594
C: 0.064 0.500 0.297
C: 0.564 0.000 0.297

Most intense lines, 2θ = 15–90°, sorted by position:
| 2θ (°) | I/Imax | hkl |
| --- | --- | --- |
| 25.56 | 59 | 1 1 0 |
| 26.36 | 32 | 2 0 -2 |
| 34.65 | 47 | 4 0 -2 |
| 34.78 | 76 | 3 1 -1 |
| 35.64 | 32 | 2 0 1 |
| 35.84 | 31 | 4 0 -1 |
| 36.98 | 100 | 1 1 -2 |
| 40.73 | 26 | 3 1 0 |
| 41.66 | 25 | 4 0 -3 |
| 47.11 | 32 | 0 2 0 |

***

Record 2
# GdDyCo2Si2C
Simulated X-ray powder pattern, Cu Ka. Input: a cell relaxed with GGA-PBE.

Crystal structure
Unit cell a=10.598 b=3.893 c=6.829 alpha=90.00 beta=129.77 gamma=90.00
Element x y z (fractional)
Gd: 0.000 0.000 0.000
Gd: 0.500 0.500 0.000
Dy: 0.373 0.500 0.405
Dy: 0.873 0.000 0.405
Co: 0.134 0.500 0.788
Co: 0.237 0.000 0.615
Co: 0.634 0.000 0.788
Co: 0.737 0.500 0.615
Si: 0.094 0.500 0.409
Si: 0.279 0.000 0.996
Si: 0.594 0.000 0.409
Si: 0.779 0.500 0.996
C: 0.435 0.000 0.699
C: 0.935 0.500 0.699

Most intense lines, 2θ = 15–90°, sorted by position:
| 2θ (°) | I/Imax | hkl |
| --- | --- | --- |
| 25.36 | 46 | 1 1 0 |
| 26.10 | 26 | 2 0 -2 |
| 34.40 | 39 | 4 0 -2 |
| 34.52 | 62 | 3 1 -1 |
| 35.51 | 26 | 2 0 1 |
| 35.66 | 25 | 4 0 -1 |
| 36.68 | 100 | 1 1 -2 |
| 40.51 | 22 | 3 1 0 |
| 41.24 | 21 | 4 0 -3 |
| 46.66 | 27 | 0 2 0 |

***

Record 3
# PrDyCo2Ge2C
Simulated X-ray powder pattern, Cu Ka. Input: a cell relaxed with GGA-PBE.

Crystal structure
Unit cell a=10.893 b=3.999 c=6.980 alpha=90.00 beta=128.76 gamma=90.00
Element x y z (fractional)
Pr: 0.000 0.000 0.000
Pr: 0.500 0.500 0.000
Dy: 0.118 0.000 0.589
Dy: 0.618 0.500 0.589
Co: 0.251 0.500 0.379
Co: 0.373 0.000 0.221
Co: 0.751 0.000 0.379
Co: 0.873 0.500 0.221
Ge: 0.227 0.500 0.008
Ge: 0.392 0.000 0.582
Ge: 0.727 0.000 0.008
Ge: 0.892 0.500 0.582
C: 0.065 0.500 0.311
C: 0.565 0.000 0.311

Most intense lines, 2θ = 15–90°, sorted by position:
| 2θ (°) | I/Imax | hkl |
| --- | --- | --- |
| 24.60 | 32 | 1 1 0 |
| 32.91 | 34 | 0 0 2 |
| 33.18 | 57 | 1 1 1 |
| 33.51 | 84 | 3 1 -1 |
| 34.41 | 45 | 4 0 -1 |
| 35.60 | 100 | 1 1 -2 |
| 35.90 | 49 | 3 1 -2 |
| 38.97 | 66 | 3 1 0 |
| 40.39 | 39 | 4 0 -3 |
| 45.35 | 49 | 0 2 0 |